(1)
For V12Ge6Pd, a crystal structure in Alexandria, relaxed with GGA-PBE gives the calculated PXRD pattern in this record (CuKα).
Peak positions follow from Bragg's law for the DFT cell and can differ from measured ones.

a = 11.3318 Å, b = 11.3318 Å, c = 7.6223 Å
α = 90.00°, β = 90.00°, γ = 120.00°
Space group R-3 (No. 148, hexagonal axes)
One atom of each set of equivalent atoms:
V (0.0454, 0.8006, 0.4124)
V (0.0547, 0.8194, 0.7464)
Ge (0.0615, 0.8311, 0.0897)
Pd (0.0000, 0.0000, 0.5000)

Main lines, low angle first (2θ = 10–90°):
d/Å, 2θ/deg, I/Imax, (hkl)
3.335, 26.73, 21, 3 -1 1
2.318, 38.84, 37, 2 -1 3
2.142, 42.20, 100, 4 1 0
2.007, 45.19, 40, 3 0 3
1.891, 48.11, 25, 4 -2 3
1.637, 56.17, 14, 1 4 3
1.336, 70.46, 13, 2 5 3
1.237, 77.12, 20, 3 6 0
1.157, 83.55, 11, 7 1 3
1.093, 89.75, 15, 5 -4 6

=====

(2)
For NaCa2Rh3O8, a crystal structure in Alexandria, relaxed with GGA-PBE gives the calculated PXRD pattern in this record (CuKα).
Peak positions follow from Bragg's law for the DFT cell and can differ from measured ones.

a = 6.3866 Å, b = 6.3866 Å, c = 15.8747 Å
α = 90.00°, β = 90.00°, γ = 120.00°
Space group R3m (No. 160, hexagonal axes)
One atom of each set of equivalent atoms:
Na (0.0000, 0.0000, 0.0000)
Ca (0.0000, 0.0000, 0.3770)
Ca (0.0000, 0.0000, 0.7612)
Rh (0.0029, 0.5014, 0.8794)
O (0.0000, 0.0000, 0.1473)
O (0.0000, 0.0000, 0.6122)
O (0.0378, 0.5189, 0.1456)
O (0.1845, 0.3690, 0.9419)

Main lines, low angle first (2θ = 10–90°):
d/Å, 2θ/deg, I/Imax, (hkl)
5.292, 16.75, 100, 0 0 3
5.223, 16.98, 50, 1 0 1
2.754, 32.52, 26, 0 1 5
2.734, 32.76, 52, 1 1 3
2.724, 32.87, 68, 0 2 1
2.612, 34.34, 36, 2 0 2
2.269, 39.73, 68, 0 2 4
1.754, 52.16, 28, 0 2 7
1.612, 57.13, 33, 2 0 8
1.597, 57.74, 37, 2 2 0

=====

(3)
For NdSm2Cu2, a crystal structure in Alexandria, relaxed with GGA-PBE gives the calculated PXRD pattern in this record (CuKα).
Peak positions follow from Bragg's law for the DFT cell and can differ from measured ones.

a = 3.611 Å, b = 5.201 Å, c = 13.384 Å
α = 90.00°, β = 97.71°, γ = 90.00°
Space group P2_1/m (No. 11)
One atom of each set of equivalent atoms:
Nd (0.141, 0.250, 0.282)
Sm (0.048, 0.750, 0.094)
Sm (0.231, 0.750, 0.460)
Cu (0.358, 0.250, 0.720)
Cu (0.456, 0.750, 0.911)

Main lines, low angle first (2θ = 10–90°):
d/Å, 2θ/deg, I/Imax, (hkl)
3.578, 24.88, 8, 1 0 -1
3.369, 26.46, 19, 0 1 3
2.653, 33.79, 17, 0 0 5
2.601, 34.49, 29, 0 2 0
2.589, 34.65, 100, 1 1 2
1.857, 49.06, 12, 0 2 5
1.806, 50.55, 10, 2 0 -1
1.499, 61.89, 18, 1 3 2
1.483, 62.64, 10, 2 2 -1
1.381, 67.87, 8, 1 1 -9

=====

(4)
For PuPa3Ge3, a crystal structure in Alexandria, relaxed with GGA-PBE gives the calculated PXRD pattern in this record (CuKα).
Peak positions follow from Bragg's law for the DFT cell and can differ from measured ones.

a = 18.191 Å, b = 6.078 Å, c = 12.118 Å
α = 90.00°, β = 90.00°, γ = 90.00°
Space group Cmce (No. 64)
One atom of each set of equivalent atoms:
Pu (0.085, 0.000, 0.000)
Pa (0.000, 0.240, 0.115)
Pa (0.168, 0.212, 0.879)
Ge (0.000, 0.227, 0.361)
Ge (0.168, 0.208, 0.632)

Main lines, low angle first (2θ = 10–90°):
d/Å, 2θ/deg, I/Imax, (hkl)
6.059, 14.62, 13, 0 0 2
5.206, 17.03, 28, 1 1 1
3.503, 25.43, 41, 3 1 2
3.033, 29.45, 46, 6 0 0
2.145, 42.13, 100, 6 0 4
1.830, 49.83, 13, 9 1 2
1.751, 52.23, 13, 6 2 4
1.515, 61.16, 13, 12 0 0
1.356, 69.31, 10, 12 0 4
1.238, 77.04, 22, 12 2 4

=====

(5)
For Sr2Zn12Pt7, a crystal structure in Alexandria, relaxed with GGA-PBE gives the calculated PXRD pattern in this record (CuKα).
Peak positions follow from Bragg's law for the DFT cell and can differ from measured ones.

a = 10.0384 Å, b = 10.0384 Å, c = 4.2312 Å
α = 90.00°, β = 90.00°, γ = 120.00°
Space group P-6 (No. 174)
One atom of each set of equivalent atoms:
Sr (0.0000, 0.0000, 0.0000)
Sr (0.3333, 0.6667, 0.5000)
Zn (0.0151, 0.7302, 0.5000)
Zn (0.1509, 0.3931, 0.0000)
Zn (0.3785, 0.1657, 0.0000)
Zn (0.5550, 0.1404, 0.5000)
Pt (0.0227, 0.5690, 0.0000)
Pt (0.2507, 0.0080, 0.5000)
Pt (0.6667, 0.3333, 0.0000)

Main lines, low angle first (2θ = 10–90°):
d/Å, 2θ/deg, I/Imax, (hkl)
8.694, 10.18, 26, 1 0 0
3.804, 23.38, 29, 1 0 1
3.286, 27.14, 66, 1 2 0
3.235, 27.57, 30, 1 1 1
3.032, 29.46, 51, 2 0 1
2.595, 34.56, 79, 2 1 1
2.158, 41.85, 70, 2 2 1
2.116, 42.74, 59, 0 0 2
2.095, 43.18, 100, 1 3 1
1.804, 50.60, 37, 2 3 1

=====

(6)
For Pm3BeC2N6, a crystal structure in Alexandria, relaxed with GGA-PBE gives the calculated PXRD pattern in this record (CuKα).
Peak positions follow from Bragg's law for the DFT cell and can differ from measured ones.

a = 5.1941 Å, b = 5.1941 Å, c = 6.3457 Å
α = 90.00°, β = 90.00°, γ = 120.00°
Space group P-3m1 (No. 164)
One atom of each set of equivalent atoms:
Pm (0.0000, 0.0000, 0.0000)
Pm (0.3333, 0.6667, 0.6682)
Be (0.0000, 0.0000, 0.5000)
C (0.3333, 0.6667, 0.2847)
N (0.1808, 0.3616, 0.2940)

Main lines, low angle first (2θ = 10–90°):
d/Å, 2θ/deg, I/Imax, (hkl)
3.670, 24.25, 97, 1 0 1
2.595, 34.56, 100, 1 1 0
2.119, 42.68, 48, 0 0 3
1.835, 49.69, 24, 2 0 2
1.641, 56.04, 46, 1 1 3
1.499, 61.91, 27, 3 0 0
1.496, 62.03, 8, 1 0 4
1.224, 78.10, 17, 0 3 3
1.161, 83.21, 8, 3 1 2
1.107, 88.29, 13, 2 2 3

=====

(7)
For LiThSb2Pd4, a crystal structure in Alexandria, relaxed with GGA-PBE gives the calculated PXRD pattern in this record (CuKα).
Peak positions follow from Bragg's law for the DFT cell and can differ from measured ones.

a = 4.5201 Å, b = 4.5201 Å, c = 25.7351 Å
α = 90.00°, β = 90.00°, γ = 120.00°
Space group R-3m (No. 166, hexagonal axes)
One atom of each set of equivalent atoms:
Li (0.0000, 0.0000, 0.0000)
Th (0.0000, 0.0000, 0.5000)
Sb (0.0000, 0.0000, 0.2579)
Pd (0.0000, 0.0000, 0.1014)
Pd (0.0000, 0.0000, 0.3653)

Main lines, low angle first (2θ = 10–90°):
d/Å, 2θ/deg, I/Imax, (hkl)
3.870, 22.98, 20, 1 0 1
3.116, 28.65, 46, 0 1 5
2.680, 33.44, 31, 1 0 7
2.485, 36.14, 84, 0 1 8
2.260, 39.89, 100, 1 1 0
1.767, 51.75, 12, 1 0 13
1.672, 54.91, 25, 2 0 8
1.367, 68.69, 12, 1 1 15
1.344, 69.99, 24, 1 2 8
1.305, 72.43, 17, 3 0 0